Starting from a crystal structure in Alexandria, relaxed with PBE, the X-ray diffraction stick pattern of Tb3Co4Ge13 was calculated for Cu Ka.
Peak positions follow from Bragg's law for the DFT cell and can differ from measured ones.

The 10 most intense peaks (5 to 70 degrees two-theta), in order of rising 2θ:
hkl  2θ (°)  I/Imax
2 1 0  22.59  14
2 2 2  35.32  9
3 2 0  36.82  100
3 2 1  38.26  38
4 0 0  41.01  25
4 1 0  42.34  9
4 2 2  50.82  9
4 3 2  56.28  10
4 3 3  61.42  12
5 3 2  65.35  15

```
40
Lattice="8.8024 0.0000 0.0000 0.0000 8.8024 0.0000 0.0000 0.0000 8.8024" Properties=species:S:1:pos:R:3 pbc="T T T"
Tb 0.0000 2.2006 4.4012
Tb 0.0000 6.6018 4.4012
Tb 2.2006 4.4012 0.0000
Tb 4.4012 0.0000 2.2006
Tb 4.4012 0.0000 6.6018
Tb 6.6018 4.4012 0.0000
Co 2.2006 2.2006 2.2006
Co 2.2006 2.2006 6.6018
Co 2.2006 6.6018 2.2006
Co 2.2006 6.6018 6.6018
Co 6.6018 2.2006 2.2006
Co 6.6018 2.2006 6.6018
Co 6.6018 6.6018 2.2006
Co 6.6018 6.6018 6.6018
Ge 0.0000 0.0000 0.0000
Ge 0.0000 2.6648 1.3502
Ge 0.0000 2.6648 7.4522
Ge 0.0000 6.1376 1.3502
Ge 0.0000 6.1376 7.4522
Ge 1.3502 0.0000 2.6648
Ge 1.3502 0.0000 6.1376
Ge 1.7364 4.4012 3.0510
Ge 1.7364 4.4012 5.7514
Ge 2.6648 1.3502 0.0000
Ge 2.6648 7.4522 0.0000
Ge 3.0510 1.7364 4.4012
Ge 3.0510 7.0660 4.4012
Ge 4.4012 3.0510 1.7364
Ge 4.4012 3.0510 7.0660
Ge 4.4012 4.4012 4.4012
Ge 4.4012 5.7514 1.7364
Ge 4.4012 5.7514 7.0660
Ge 5.7514 1.7364 4.4012
Ge 5.7514 7.0660 4.4012
Ge 6.1376 1.3502 0.0000
Ge 6.1376 7.4522 0.0000
Ge 7.0660 4.4012 3.0510
Ge 7.0660 4.4012 5.7514
Ge 7.4522 0.0000 2.6648
Ge 7.4522 0.0000 6.1376
```